Entry 1:
This entry pairs a crystal structure of Tb6HoCd5 with its theoretical powder diffraction line list. Radiation: Cu Kα (weighted mean of Kα1 and Kα2). Structure: DFT lattice parameters and positions (GGA-PBE).
Neutral-atom scattering factors, no anomalous dispersion.

Crystal structure
```
Tb6HoCd5
1.0
-2.6322 3.8955 7.9996
2.6322 -3.8955 7.9996
2.6322 3.8955 -7.9996
Tb Ho Cd
6 1 5
Direct
0.0737 0.3293 0.7444 Tb
0.2312 0.0000 0.2312 Tb
0.4151 0.6707 0.7444 Tb
0.5849 0.3293 0.2556 Tb
0.7688 0.0000 0.7688 Tb
0.9263 0.6707 0.2556 Tb
0.5000 0.5000 0.0000 Ho
0.0000 0.5000 0.5000 Cd
0.1691 0.1691 0.0000 Cd
0.3469 0.8469 0.5000 Cd
0.6531 0.1531 0.5000 Cd
0.8309 0.8309 0.0000 Cd
```

Largest 12 diffraction maxima, low angle first, 15° ≤ 2θ ≤ 90°:
- 2θ = 33.18°, I = 1000
- 2θ = 33.61°, I = 236
- 2θ = 34.06°, I = 239
- 2θ = 46.63°, I = 94
- 2θ = 48.60°, I = 166
- 2θ = 58.70°, I = 91
- 2θ = 58.99°, I = 92
- 2θ = 59.82°, I = 165
- 2θ = 60.41°, I = 175
- 2θ = 69.64°, I = 106
- 2θ = 77.86°, I = 76
- 2θ = 80.82°, I = 102

---

Entry 2:
This entry pairs a crystal structure of Ba3Ga4Ag4 with its theoretical powder diffraction line list. Radiation: Cu Kα (weighted mean of Kα1 and Kα2). Structure: DFT lattice parameters and positions (GGA-PBE).
Neutral-atom scattering factors, no anomalous dispersion.

Crystal structure
```
Ba3Ga4Ag4
1.0
4.6486 0.0000 0.0000
-0.0196 4.7457 0.0000
-2.3204 -2.3640 13.7016
Ba Ga Ag
3 4 4
Direct
0.0000 0.0000 0.0000 Ba
0.1516 0.6518 0.3030 Ba
0.8484 0.3482 0.6970 Ba
0.2508 0.2481 0.4999 Ga
0.3994 0.8992 0.7997 Ga
0.6006 0.1008 0.2003 Ga
0.7492 0.7519 0.5001 Ga
0.3008 0.8003 0.6035 Ag
0.4475 0.4462 0.8937 Ag
0.5525 0.5538 0.1063 Ag
0.6992 0.1997 0.3965 Ag
```

Largest 12 diffraction maxima, low angle first, 15° ≤ 2θ ≤ 90°:
- 2θ = 27.58°, I = 195
- 2θ = 27.69°, I = 193
- 2θ = 29.84°, I = 1000
- 2θ = 29.95°, I = 385
- 2θ = 35.01°, I = 344
- 2θ = 37.92°, I = 369
- 2θ = 38.74°, I = 348
- 2θ = 40.91°, I = 206
- 2θ = 47.35°, I = 153
- 2θ = 48.91°, I = 150
- 2θ = 49.05°, I = 149
- 2θ = 60.86°, I = 122

---

Entry 3:
This entry pairs a crystal structure of Sr2SmS3 with its theoretical powder diffraction line list. Radiation: Cu Kα (weighted mean of Kα1 and Kα2). Structure: DFT lattice parameters and positions (GGA-PBE).
Neutral-atom scattering factors, no anomalous dispersion.

Crystal structure
```
Sr2SmS3
1.0
-2.0767 2.9510 6.2881
2.0767 -2.9510 6.2881
2.0767 2.9510 -6.2881
Sr Sm S
2 1 3
Direct
0.1688 0.1688 0.0000 Sr
0.8312 0.8312 0.0000 Sr
0.5000 0.5000 0.0000 Sm
0.0000 0.5000 0.5000 S
0.3427 0.8427 0.5000 S
0.6573 0.1573 0.5000 S
```

Largest 12 diffraction maxima, low angle first, 15° ≤ 2θ ≤ 90°:
- 2θ = 26.07°, I = 267
- 2θ = 26.24°, I = 261
- 2θ = 30.29°, I = 1000
- 2θ = 43.16°, I = 120
- 2θ = 43.37°, I = 480
- 2θ = 43.58°, I = 119
- 2θ = 51.24°, I = 139
- 2θ = 51.46°, I = 135
- 2θ = 53.63°, I = 128
- 2θ = 53.99°, I = 124
- 2θ = 63.01°, I = 115
- 2θ = 71.49°, I = 211